No. 1
Simulated X-ray powder pattern of LiZrTa for λ = 1.5418 Å (Cu Kα), from a structure optimized by DFT (PBE).
Intensities are scaled so that the largest is 1000.

Top 10 peaks for 2θ from 15° to 90°, in order of falling intensity:
index  two_theta  I_rel
0 1 0  17.07  1000
0 1 3  37.65  718
1 1 1  38.94  624
0 2 0  34.53  459
1 0 -2  38.69  300
1 2 -2  52.83  298
0 0 3  33.30  195
1 1 0  36.82  171
1 1 -2  42.57  171
1 0 1  34.73  163

Atomic structure:
```
data_LiZrTa
_chemical_formula_sum 'Li2 Zr2 Ta2'
_cell_length_a 2.7675
_cell_length_b 5.1945
_cell_length_c 8.0800
_cell_angle_alpha 90.00
_cell_angle_beta 92.41
_cell_angle_gamma 90.00
_space_group_name_H-M_alt 'P 1 2/m 1'
_space_group_IT_number 10
loop_
_space_group_symop_operation_xyz
'x,y,z'
'-x,-y,-z'
'-x,y,-z'
'x,-y,z'
loop_
_atom_site_label
_atom_site_type_symbol
_atom_site_fract_x
_atom_site_fract_y
_atom_site_fract_z
Li1 Li 0.1051 0.0000 0.3374
Zr1 Zr 0.5000 0.0000 0.0000
Zr2 Zr 0.5000 0.5000 0.5000
Ta1 Ta 0.1142 0.5000 0.8397
```

=====

No. 2
Simulated X-ray powder pattern of AlAg3Te3 for λ = 1.5418 Å (Cu Kα), from a structure optimized by DFT (PBE).
Intensities are scaled so that the largest is 1000.

Top 10 peaks for 2θ from 15° to 90°, in order of falling intensity:
index  two_theta  I_rel
2 1 -3  30.86  1000
0 0 6  39.35  964
0 3 4  41.87  948
1 2 1  25.47  883
0 3 2  34.89  877
0 2 1  22.33  874
2 1 -4  35.06  865
1 1 -1  16.55  789
1 1 -2  19.65  788
3 1 -3  40.16  719

Atomic structure:
```
data_AlAg3Te3
_chemical_formula_sum 'Al4 Ag12 Te12'
_cell_length_a 7.7271
_cell_length_b 8.3202
_cell_length_c 13.7967
_cell_angle_alpha 90.00
_cell_angle_beta 95.37
_cell_angle_gamma 90.00
_space_group_name_H-M_alt 'P 1 21/c 1'
_space_group_IT_number 14
loop_
_space_group_symop_operation_xyz
'x,y,z'
'-x,-y,-z'
'-x,y+1/2,-z+1/2'
'x,-y+1/2,z+1/2'
loop_
_atom_site_label
_atom_site_type_symbol
_atom_site_fract_x
_atom_site_fract_y
_atom_site_fract_z
Al1 Al 0.1622 0.0804 0.4262
Ag1 Ag 0.3407 0.6093 0.5889
Ag2 Ag 0.4028 0.0373 0.7528
Ag3 Ag 0.4887 0.2303 0.0851
Te1 Te 0.1883 0.5798 0.0941
Te2 Te 0.2622 0.6178 0.7940
Te3 Te 0.2636 0.1163 0.9315
```

=====

No. 3
Simulated X-ray powder pattern of Li2UTlI8 for λ = 1.5418 Å (Cu Kα), from a structure optimized by DFT (PBE).
Intensities are scaled so that the largest is 1000.

Top 10 peaks for 2θ from 15° to 90°, in order of falling intensity:
index  two_theta  I_rel
-1 1 2  25.73  1000
1 2 0  25.36  370
1 1 0  15.92  198
0 0 4  36.16  196
2 2 0  32.15  188
0 3 -2  40.76  180
2 -2 0  37.25  166
2 -1 2  34.44  163
0 0 2  17.85  161
0 3 2  40.55  142

Atomic structure:
```
data_Li2UTlI8
_chemical_formula_sum 'Li2 U1 Tl1 I8'
_cell_length_a 7.2261
_cell_length_b 7.5204
_cell_length_c 9.9374
_cell_angle_alpha 89.65
_cell_angle_beta 89.77
_cell_angle_gamma 81.82
_space_group_name_H-M_alt 'P -1'
_space_group_IT_number 2
loop_
_space_group_symop_operation_xyz
'x,y,z'
'-x,-y,-z'
loop_
_atom_site_label
_atom_site_type_symbol
_atom_site_fract_x
_atom_site_fract_y
_atom_site_fract_z
Li1 Li 0.0036 0.0013 0.3338
U1 U 0.5000 0.5000 0.0000
Tl1 Tl 0.5000 0.5000 0.5000
I1 I 0.2093 0.1708 0.5018
I2 I 0.2533 0.6846 0.2105
I3 I 0.2538 0.6847 0.7892
I4 I 0.2775 0.2101 0.0019
```

=====

No. 4
Simulated X-ray powder pattern of Ti5Al11 for λ = 1.5418 Å (Cu Kα), from a structure optimized by DFT (PBE).
Intensities are scaled so that the largest is 1000.

Top 10 peaks for 2θ from 15° to 90°, in order of falling intensity:
index  two_theta  I_rel
1 1 4  39.13  1000
2 0 0  46.27  304
3 1 4  80.89  215
2 0 8  65.69  193
0 0 8  43.91  170
1 1 12  77.49  110
2 2 8  84.09  94
2 2 0  67.51  93
0 0 4  21.55  44
1 0 1  23.30  41

Atomic structure:
```
data_Ti5Al11
_chemical_formula_sum 'Ti5 Al11'
_cell_length_a 3.9245
_cell_length_b 3.9245
_cell_length_c 16.4959
_cell_angle_alpha 90.00
_cell_angle_beta 90.00
_cell_angle_gamma 90.00
_space_group_name_H-M_alt 'P 4 m m'
_space_group_IT_number 99
loop_
_space_group_symop_operation_xyz
'x,y,z'
'-y,x,z'
'-x,-y,z'
'y,-x,z'
'-x,y,z'
'y,x,z'
'x,-y,z'
'-y,-x,z'
loop_
_atom_site_label
_atom_site_type_symbol
_atom_site_fract_x
_atom_site_fract_y
_atom_site_fract_z
Ti1 Ti 0.0000 0.0000 0.0000
Ti2 Ti 0.0000 0.0000 0.2398
Ti3 Ti 0.0000 0.0000 0.7578
Ti4 Ti 0.5000 0.5000 0.5034
Ti5 Ti 0.5000 0.5000 0.7432
Al1 Al 0.0000 0.0000 0.4999
Al2 Al 0.0000 0.5000 0.1218
Al3 Al 0.0000 0.5000 0.3731
Al4 Al 0.0000 0.5000 0.6263
Al5 Al 0.0000 0.5000 0.8736
Al6 Al 0.5000 0.5000 0.2480
Al7 Al 0.5000 0.5000 0.9976
```

=====

No. 5
Simulated X-ray powder pattern of LaLuAlGa for λ = 1.5418 Å (Cu Kα), from a structure optimized by DFT (PBE).
Intensities are scaled so that the largest is 1000.

Top 10 peaks for 2θ from 15° to 90°, in order of falling intensity:
index  two_theta  I_rel
2 2 0  34.72  1000
4 2 2  62.23  366
2 0 0  24.36  319
4 0 0  49.92  178
6 2 0  83.70  160
4 2 0  56.30  133
4 4 0  73.27  113
2 2 2  42.87  97
6 0 0  78.53  64
1 1 1  21.06  46

Atomic structure:
```
data_LaLuAlGa
_chemical_formula_sum 'La4 Lu4 Al4 Ga4'
_cell_length_a 7.3080
_cell_length_b 7.3080
_cell_length_c 7.3080
_cell_angle_alpha 90.00
_cell_angle_beta 90.00
_cell_angle_gamma 90.00
_space_group_name_H-M_alt 'F -4 3 m'
_space_group_IT_number 216
_space_group_name_Hall 'F -4 2 3'
loop_
_atom_site_label
_atom_site_type_symbol
_atom_site_fract_x
_atom_site_fract_y
_atom_site_fract_z
La1 La 0.0000 0.0000 0.0000
Lu1 Lu 0.0000 0.0000 0.5000
Al1 Al 0.2500 0.2500 0.7500
Ga1 Ga 0.2500 0.2500 0.2500
```

=====

No. 6
Simulated X-ray powder pattern of CrB2Ru2 for λ = 1.5418 Å (Cu Kα), from a structure optimized by DFT (PBE).
Intensities are scaled so that the largest is 1000.

Top 10 peaks for 2θ from 15° to 90°, in order of falling intensity:
index  two_theta  I_rel
2 1 0  32.98  1000
2 1 1  46.86  988
3 1 0  47.33  495
1 1 1  38.70  362
2 0 1  44.27  356
3 3 1  74.64  239
0 0 1  32.34  228
2 1 2  77.37  167
3 1 2  86.71  161
4 0 1  70.77  156

Atomic structure:
```
data_CrB2Ru2
_chemical_formula_sum 'Cr2 B4 Ru4'
_cell_length_a 6.0734
_cell_length_b 6.0734
_cell_length_c 2.7686
_cell_angle_alpha 90.00
_cell_angle_beta 90.00
_cell_angle_gamma 90.00
_space_group_name_H-M_alt 'P 4/m b m'
_space_group_IT_number 127
_space_group_name_Hall '-P 4 2ab'
loop_
_atom_site_label
_atom_site_type_symbol
_atom_site_fract_x
_atom_site_fract_y
_atom_site_fract_z
Cr1 Cr 0.0000 0.0000 0.0000
B1 B 0.1399 0.3601 0.0000
Ru1 Ru 0.1575 0.6575 0.5000
```